Starting from a DFT-relaxed cell (GGA-PBE, Alexandria), the X-ray diffraction stick pattern of Pm2B3C4 was calculated for a wavelength of 1.5418 Å.

Main lines, by angle (2θ from 15° to 90°):
two_theta  d (Å)  I/Imax
18.92  4.689  38.6
23.71  3.753  100.0
30.13  2.966  30.4
31.26  2.861  42.5
32.00  2.797  59.1
38.07  2.364  36.6
38.40  2.344  61.9
38.98  2.310  19.2
44.52  2.035  22.0
55.87  1.646  32.3

Atomic structure:
abc: 6.3662 6.3662 7.6563
angles: 90.00 90.00 137.44
Positions (direct):
Pm1 0.1259 0.8741 0.9192
Pm2 0.3741 0.6259 0.4192
Pm3 0.6259 0.3741 0.5808
Pm4 0.8741 0.1259 0.0808
B1 0.0000 0.0000 0.5000
B2 0.0650 0.4350 0.7500
B3 0.4350 0.0650 0.2500
B4 0.5000 0.5000 0.0000
B5 0.5650 0.9350 0.7500
B6 0.9350 0.5650 0.2500
C1 0.2031 0.2969 0.7500
C2 0.2461 0.7539 0.6658
C3 0.2539 0.7461 0.1658
C4 0.2969 0.2031 0.2500
C5 0.7031 0.7969 0.7500
C6 0.7461 0.2539 0.8342
C7 0.7539 0.2461 0.3342
C8 0.7969 0.7031 0.2500

=====

Starting from a DFT-relaxed cell (GGA-PBE, Alexandria), the X-ray diffraction stick pattern of Sm5Y2Pu was calculated for a wavelength of 1.5418 Å.

Main lines, by angle (2θ from 15° to 90°):
two_theta  d (Å)  I/Imax
28.37  3.146  9.6
28.41  3.141  19.1
30.99  2.886  30.0
32.42  2.761  100.0
32.50  2.755  19.8
42.56  2.124  12.8
50.32  1.813  15.5
56.08  1.640  16.8
60.31  1.535  13.5
61.13  1.516  9.7

Atomic structure:
abc: 6.8253 8.5190 9.6130
angles: 76.04 84.07 76.46
Positions (direct):
Sm1 0.0000 0.0000 0.0000
Sm2 0.0166 0.4912 0.3862
Sm3 0.1264 0.8831 0.3716
Sm4 0.1492 0.3618 0.7713
Sm5 0.2481 0.7563 0.7514
Sm6 0.4989 0.5114 0.4951
Sm7 0.5261 0.9826 0.8969
Sm8 0.6321 0.3844 0.8724
Sm9 0.7543 0.2544 0.2457
Sm10 0.7740 0.7364 0.6439
Y1 0.2749 0.2355 0.1435
Y2 0.3813 0.6306 0.1227
Y3 0.4009 0.1100 0.5143
Y4 0.8773 0.1348 0.6210
Pu1 0.6498 0.8585 0.2665
Pu2 0.8961 0.6114 0.0207

=====

Starting from a DFT-relaxed cell (GGA-PBE, Alexandria), the X-ray diffraction stick pattern of FeMoPt6 was calculated for a wavelength of 1.5418 Å.

Main lines, by angle (2θ from 15° to 90°):
two_theta  d (Å)  I/Imax
22.48  3.954  6.2
32.17  2.783  5.2
39.60  2.276  100.0
45.90  1.977  33.0
46.37  1.958  16.0
66.93  1.398  10.8
67.30  1.391  21.2
80.65  1.191  25.9
81.34  1.183  12.7
85.30  1.138  11.4

Atomic structure:
abc: 3.9545 3.9545 7.8328
angles: 90.00 90.00 90.00
Positions (direct):
Fe1 0.0000 0.0000 0.0000
Mo1 0.0000 0.0000 0.5000
Pt1 0.0000 0.5000 0.2500
Pt2 0.0000 0.5000 0.7500
Pt3 0.5000 0.0000 0.2500
Pt4 0.5000 0.0000 0.7500
Pt5 0.5000 0.5000 0.0000
Pt6 0.5000 0.5000 0.5000